Calculated XRD peak list of CsErPbF6 for Cu Kα (λ = 1.5418 Å), from the PBE geometry in Alexandria.
Neutral-atom scattering factors, no anomalous dispersion.

Atomic structure:
```
data_CsErPbF6
_cell_length_a 6.4498
_cell_length_b 6.4498
_cell_length_c 5.7481
_cell_angle_alpha 90.00
_cell_angle_beta 90.00
_cell_angle_gamma 120.00
_space_group_name_H-M_alt 'P 3'
_space_group_IT_number 143
_space_group_name_Hall 'P 3'
loop_
_atom_site_label
_atom_site_fract_x
_atom_site_fract_y
_atom_site_fract_z
Cs1 0.0000 0.0000 0.0000
Er1 0.3333 0.6667 0.4730
Pb1 0.6667 0.3333 0.5042
F1 0.0193 0.6062 0.2732
F2 0.0478 0.3885 0.6784
```

Peak list (10 most intense, 2θ = 10–80°, by angle)
2θ (°), Rel. int.
15.42, 275
22.19, 1000
27.66, 559
31.82, 224
35.74, 275
42.11, 521
45.79, 295
48.92, 189
59.12, 136
62.05, 125